Structure and calculated PXRD pattern of Rb4La3CoO8 (a cell relaxed with PBE+U; Cu Kα (λ = 1.5418 Å)).
Intensities are scaled so that the largest is 100.

Principal peaks in the range 2θ from 10° to 80°, most intense first:
| d [Å] | intensity |
| --- | --- |
| 2.570 | 100 |
| 3.009 | 93 |
| 2.917 | 71 |
| 3.336 | 68 |
| 3.022 | 48 |
| 2.003 | 42 |
| 1.862 | 37 |
| 6.672 | 23 |
| 1.701 | 21 |
| 1.639 | 20 |
| 1.505 | 17 |
| 1.559 | 17 |

Structure:
```
data_Rb4La3CoO8
_chemical_formula_sum 'Rb8 La6 Co2 O16'
_space_group_name_H-M_alt 'C 1 2/m 1'
_space_group_IT_number 12
_cell_length_a 13.2682
_cell_length_b 7.0245
_cell_length_c 7.5870
_cell_angle_alpha 90.00
_cell_angle_beta 118.43
_cell_angle_gamma 90.00
loop_
_space_group_symop_operation_xyz
'x,y,z'
'-x,-y,-z'
'-x,y,-z'
'x,-y,z'
'x+1/2,y+1/2,z'
'-x+1/2,-y+1/2,-z'
'-x+1/2,y+1/2,-z'
'x+1/2,-y+1/2,z'
loop_
_atom_site_label
_atom_site_fract_x
_atom_site_fract_y
_atom_site_fract_z
Rb1 0.0000 0.0000 0.0000
Rb2 0.0000 0.5000 0.0000
Rb3 0.2500 0.2500 0.0000
La1 0.0000 0.0000 0.5000
La2 0.2500 0.2500 0.5000
Co1 0.0000 0.5000 0.5000
O1 0.0297 0.2990 0.3540
O2 0.2092 0.0000 0.6802
O3 0.2166 0.0000 0.2723
```